No. 1
Starting from a cell relaxed with GGA-PBE, the X-ray powder pattern of Ba5Sn2S8 was calculated for CuKα.
Intensities are scaled so that the largest is 100.

Main lines, in order of falling intensity (10 to 90 degrees two-theta):
| 2θ (°) | Rel. int. | index |
| --- | --- | --- |
| 25.47 | 100 | 4 2 2 |
| 29.70 | 92 | 5 1 3 |
| 29.81 | 78 | 5 3 1 |
| 47.45 | 37 | 0 6 2 |
| 32.86 | 36 | 0 2 4 |
| 33.02 | 33 | 0 4 2 |
| 23.35 | 29 | 1 1 3 |
| 22.19 | 29 | 6 0 0 |
| 36.49 | 28 | 8 2 2 |
| 23.50 | 28 | 1 3 1 |

```
data_Ba5Sn2S8
_cell_length_a 24.034
_cell_length_b 12.111
_cell_length_c 12.213
_cell_angle_alpha 90.00
_cell_angle_beta 90.00
_cell_angle_gamma 90.00
_symmetry_space_group_name_H-M 'C m c e'
_symmetry_Int_Tables_number 64
_symmetry_space_group_name_Hall '-C 2ac 2'
loop_
_atom_site_label
_atom_site_fract_x
_atom_site_fract_y
_atom_site_fract_z
Ba1 0.096 0.001 0.169
Ba2 0.097 0.167 0.503
Ba3 0.250 0.247 0.250
Sn1 0.000 0.244 0.255
Sn2 0.250 0.000 0.000
S1 0.000 0.047 0.354
S2 0.000 0.155 0.052
S3 0.115 0.248 0.255
S4 0.186 0.151 0.009
S5 0.187 0.007 0.650
```



No. 2
Starting from a cell relaxed with GGA-PBE, the X-ray powder pattern of BiSe was calculated for CuKα.
Intensities are scaled so that the largest is 100.

Main lines, in order of falling intensity (10 to 90 degrees two-theta):
| 2θ (°) | Rel. int. | index |
| --- | --- | --- |
| 29.80 | 100 | 1 1 0 |
| 42.13 | 79 | 1 1 2 |
| 29.09 | 53 | 0 0 2 |
| 23.42 | 34 | 0 1 1 |
| 37.19 | 28 | 0 2 0 |
| 47.90 | 27 | 0 2 2 |
| 27.49 | 23 | 1 0 1 |
| 68.70 | 19 | 1 1 4 |
| 69.83 | 18 | 2 2 2 |
| 70.44 | 18 | 1 3 2 |

```
data_BiSe
_cell_length_a 3.821
_cell_length_b 4.835
_cell_length_c 6.140
_cell_angle_alpha 90.00
_cell_angle_beta 90.00
_cell_angle_gamma 90.00
_symmetry_space_group_name_H-M 'I m m m'
_symmetry_Int_Tables_number 71
_symmetry_space_group_name_Hall '-I 2 2'
loop_
_atom_site_label
_atom_site_fract_x
_atom_site_fract_y
_atom_site_fract_z
Bi1 0.000 0.000 0.000
Se1 0.000 0.000 0.500
```



No. 3
Starting from a cell relaxed with GGA-PBE, the X-ray powder pattern of Pm5CdRh2 was calculated for CuKα.
Intensities are scaled so that the largest is 100.

Main lines, in order of falling intensity (10 to 90 degrees two-theta):
| 2θ (°) | Rel. int. | index |
| --- | --- | --- |
| 31.79 | 100 | 2 1 3 |
| 35.48 | 64 | 3 1 0 |
| 34.51 | 34 | 2 0 4 |
| 41.55 | 23 | 2 1 5 |
| 30.55 | 22 | 1 1 4 |
| 66.13 | 20 | 4 4 0 |
| 65.94 | 18 | 3 1 8 |
| 55.66 | 17 | 3 3 4 |
| 31.63 | 13 | 2 2 0 |
| 51.16 | 13 | 4 1 3 |

```
data_Pm5CdRh2
_cell_length_a 8.001
_cell_length_b 8.001
_cell_length_c 13.678
_cell_angle_alpha 90.00
_cell_angle_beta 90.00
_cell_angle_gamma 90.00
_symmetry_space_group_name_H-M 'I 4/m c m'
_symmetry_Int_Tables_number 140
_symmetry_space_group_name_Hall '-I 4 2c'
loop_
_atom_site_label
_atom_site_fract_x
_atom_site_fract_y
_atom_site_fract_z
Pm1 0.000 0.000 0.000
Pm2 0.161 0.339 0.134
Cd1 0.000 0.000 0.250
Rh1 0.137 0.363 0.500
```



No. 4
Starting from a cell relaxed with GGA-PBE, the X-ray powder pattern of Er8ZnIn2 was calculated for CuKα.
Intensities are scaled so that the largest is 100.

Main lines, in order of falling intensity (10 to 90 degrees two-theta):
| 2θ (°) | Rel. int. | index |
| --- | --- | --- |
| 30.64 | 100 | 5 1 0 |
| 34.88 | 85 | 0 2 0 |
| 33.84 | 76 | 1 1 2 |
| 31.79 | 65 | 1 1 -2 |
| 28.52 | 38 | 3 1 1 |
| 32.95 | 33 | 3 1 -2 |
| 31.03 | 32 | 5 1 -1 |
| 37.07 | 31 | 5 1 -2 |
| 29.86 | 24 | 4 0 -2 |
| 65.31 | 19 | 7 1 3 |

```
data_Er8ZnIn2
_cell_length_a 18.235
_cell_length_b 5.145
_cell_length_c 6.735
_cell_angle_alpha 90.00
_cell_angle_beta 103.70
_cell_angle_gamma 90.00
_symmetry_space_group_name_H-M 'C 1 2/m 1'
_symmetry_Int_Tables_number 12
loop_
_symmetry_equiv_pos_as_xyz
'x,y,z'
'-x,-y,-z'
'-x,y,-z'
'x,-y,z'
'x+1/2,y+1/2,z'
'-x+1/2,-y+1/2,-z'
'-x+1/2,y+1/2,-z'
'x+1/2,-y+1/2,z'
loop_
_atom_site_label
_atom_site_fract_x
_atom_site_fract_y
_atom_site_fract_z
Er1 0.017 0.000 0.270
Er2 0.093 0.500 0.956
Er3 0.152 0.500 0.466
Er4 0.203 0.000 0.791
Zn1 0.000 0.500 0.500
In1 0.187 0.000 0.238
```



No. 5
Starting from a cell relaxed with GGA-PBE, the X-ray powder pattern of Dy4GaAu was calculated for CuKα.
Intensities are scaled so that the largest is 100.

Main lines, in order of falling intensity (10 to 90 degrees two-theta):
| 2θ (°) | Rel. int. | index |
| --- | --- | --- |
| 33.88 | 100 | 1 7 0 |
| 35.81 | 85 | 1 3 2 |
| 34.84 | 73 | 2 0 0 |
| 17.70 | 64 | 1 1 0 |
| 29.71 | 56 | 0 2 2 |
| 39.63 | 34 | 1 5 2 |
| 46.42 | 33 | 2 2 2 |
| 16.38 | 27 | 0 2 1 |
| 51.15 | 26 | 1 9 2 |
| 33.07 | 25 | 0 4 2 |

```
data_Dy4GaAu
_cell_length_a 5.150
_cell_length_b 21.586
_cell_length_c 6.263
_cell_angle_alpha 90.00
_cell_angle_beta 90.00
_cell_angle_gamma 90.00
_symmetry_space_group_name_H-M 'C m c 21'
_symmetry_Int_Tables_number 36
loop_
_symmetry_equiv_pos_as_xyz
'x,y,z'
'-x,-y,z+1/2'
'-x,y,z'
'x,-y,z+1/2'
'x+1/2,y+1/2,z'
'-x+1/2,-y+1/2,z+1/2'
'-x+1/2,y+1/2,z'
'x+1/2,-y+1/2,z+1/2'
loop_
_atom_site_label
_atom_site_fract_x
_atom_site_fract_y
_atom_site_fract_z
Dy1 0.000 0.060 0.000
Dy2 0.000 0.190 0.289
Dy3 0.000 0.216 0.807
Dy4 0.000 0.378 0.071
Ga1 0.000 0.339 0.546
Au1 0.000 0.072 0.511
```



No. 6
Starting from a cell relaxed with GGA-PBE, the X-ray powder pattern of Tl17Hg11Te was calculated for CuKα.
Intensities are scaled so that the largest is 100.

Main lines, in order of falling intensity (10 to 90 degrees two-theta):
| 2θ (°) | Rel. int. | index |
| --- | --- | --- |
| 32.29 | 100 | 4 0 -3 |
| 31.59 | 72 | 3 3 0 |
| 30.72 | 70 | 1 5 -2 |
| 30.61 | 62 | 1 5 1 |
| 31.77 | 61 | 4 2 -2 |
| 32.44 | 60 | 1 3 -3 |
| 31.93 | 55 | 3 3 -3 |
| 33.94 | 39 | 3 5 -1 |
| 36.53 | 36 | 2 0 2 |
| 29.54 | 34 | 0 6 0 |

```
data_Tl17Hg11Te
_cell_length_a 11.854
_cell_length_b 18.145
_cell_length_c 9.941
_cell_angle_alpha 90.00
_cell_angle_beta 125.79
_cell_angle_gamma 90.00
_symmetry_space_group_name_H-M 'C 1 m 1'
_symmetry_Int_Tables_number 8
loop_
_symmetry_equiv_pos_as_xyz
'x,y,z'
'x,-y,z'
'x+1/2,y+1/2,z'
'x+1/2,-y+1/2,z'
loop_
_atom_site_label
_atom_site_fract_x
_atom_site_fract_y
_atom_site_fract_z
Tl1 0.000 0.000 0.000
Tl2 0.004 0.000 0.614
Tl3 0.129 0.199 0.660
Tl4 0.236 0.500 0.039
Tl5 0.288 0.358 0.341
Tl6 0.319 0.301 0.031
Tl7 0.344 0.000 0.716
Tl8 0.348 0.000 0.352
Tl9 0.382 0.343 0.743
Tl10 0.489 0.162 0.948
Tl11 0.499 0.171 0.337
Hg1 0.060 0.087 0.348
Hg2 0.085 0.398 0.702
Hg3 0.146 0.184 0.146
Hg4 0.215 0.500 0.575
Hg5 0.233 0.090 0.961
Hg6 0.319 0.195 0.525
Te1 0.041 0.500 0.172
```



No. 7
Starting from a cell relaxed with GGA-PBE, the X-ray powder pattern of AlNi3B was calculated for CuKα.
Intensities are scaled so that the largest is 100.

Main lines, in order of falling intensity (10 to 90 degrees two-theta):
| 2θ (°) | Rel. int. | index |
| --- | --- | --- |
| 44.21 | 100 | 2 0 1 |
| 37.97 | 23 | 2 0 0 |
| 44.43 | 22 | 0 0 2 |
| 28.89 | 20 | 1 0 1 |
| 68.60 | 16 | 2 2 0 |
| 81.67 | 15 | 2 0 3 |
| 59.84 | 15 | 2 0 2 |
| 85.47 | 14 | 2 2 2 |
| 85.31 | 11 | 4 0 1 |
| 50.98 | 8 | 2 1 0 |

```
data_AlNi3B
_cell_length_a 5.4723
_cell_length_b 5.4723
_cell_length_c 4.0776
_cell_angle_alpha 90.00
_cell_angle_beta 90.00
_cell_angle_gamma 120.00
_symmetry_space_group_name_H-M 'P 63/m m c'
_symmetry_Int_Tables_number 194
_symmetry_space_group_name_Hall '-P 6c 2c'
loop_
_atom_site_label
_atom_site_fract_x
_atom_site_fract_y
_atom_site_fract_z
Al1 0.3333 0.6667 0.2500
Ni1 0.1814 0.3629 0.7500
B1 0.0000 0.0000 0.0000
```



No. 8
Starting from a cell relaxed with GGA-PBE, the X-ray powder pattern of PmNd3Si3 was calculated for CuKα.
Intensities are scaled so that the largest is 100.

Main lines, in order of falling intensity (10 to 90 degrees two-theta):
| 2θ (°) | Rel. int. | index |
| --- | --- | --- |
| 33.53 | 100 | 1 3 2 |
| 25.62 | 78 | 2 2 0 |
| 34.42 | 78 | 2 2 -2 |
| 26.30 | 63 | 1 1 -2 |
| 23.52 | 60 | 1 3 0 |
| 28.45 | 47 | 2 2 1 |
| 49.77 | 39 | 0 2 4 |
| 27.98 | 37 | 0 4 0 |
| 23.24 | 34 | 0 0 2 |
| 42.52 | 31 | 0 6 0 |

```
data_PmNd3Si3
_cell_length_a 8.300
_cell_length_b 12.753
_cell_length_c 7.658
_cell_angle_alpha 90.00
_cell_angle_beta 91.67
_cell_angle_gamma 90.00
_symmetry_space_group_name_H-M 'C 1 2/m 1'
_symmetry_Int_Tables_number 12
loop_
_symmetry_equiv_pos_as_xyz
'x,y,z'
'-x,-y,-z'
'-x,y,-z'
'x,-y,z'
'x+1/2,y+1/2,z'
'-x+1/2,-y+1/2,-z'
'-x+1/2,y+1/2,-z'
'x+1/2,-y+1/2,z'
loop_
_atom_site_label
_atom_site_fract_x
_atom_site_fract_y
_atom_site_fract_z
Pm1 0.244 0.000 0.411
Nd1 0.000 0.276 0.500
Nd2 0.000 0.335 0.000
Nd3 0.132 0.000 0.871
Si1 0.057 0.500 0.276
Si2 0.169 0.171 0.198
```



No. 9
Starting from a cell relaxed with GGA-PBE, the X-ray powder pattern of Ba2Sr5B4S13 was calculated for CuKα.
Intensities are scaled so that the largest is 100.

Main lines, in order of falling intensity (10 to 90 degrees two-theta):
| 2θ (°) | Rel. int. | index |
| --- | --- | --- |
| 28.63 | 100 | 1 1 -3 |
| 34.21 | 95 | 3 5 1 |
| 39.14 | 60 | 3 7 1 |
| 40.52 | 48 | 4 0 -2 |
| 22.98 | 42 | 1 3 2 |
| 22.58 | 40 | 0 6 0 |
| 23.38 | 37 | 0 4 2 |
| 39.88 | 33 | 1 9 2 |
| 25.04 | 32 | 2 4 -1 |
| 19.36 | 31 | 2 2 0 |

```
data_Ba2Sr5B4S13
_cell_length_a 9.957
_cell_length_b 23.629
_cell_length_c 9.938
_cell_angle_alpha 90.00
_cell_angle_beta 90.13
_cell_angle_gamma 90.00
_symmetry_space_group_name_H-M 'C 1 2/c 1'
_symmetry_Int_Tables_number 15
loop_
_symmetry_equiv_pos_as_xyz
'x,y,z'
'-x,-y,-z'
'-x,y,-z+1/2'
'x,-y,z+1/2'
'x+1/2,y+1/2,z'
'-x+1/2,-y+1/2,-z'
'-x+1/2,y+1/2,-z+1/2'
'x+1/2,-y+1/2,z+1/2'
loop_
_atom_site_label
_atom_site_fract_x
_atom_site_fract_y
_atom_site_fract_z
Ba1 0.000 0.008 0.250
Ba2 0.000 0.330 0.250
Sr1 0.000 0.498 0.750
Sr2 0.107 0.171 0.976
Sr3 0.226 0.327 0.643
B1 0.099 0.383 0.927
B2 0.179 0.115 0.650
S1 0.000 0.199 0.250
S2 0.048 0.418 0.506
S3 0.094 0.078 0.514
S4 0.104 0.304 0.932
S5 0.181 0.194 0.647
S6 0.234 0.421 0.844
S7 0.248 0.080 0.797
```



No. 10
Starting from a cell relaxed with GGA-PBE, the X-ray powder pattern of Th3SiAs was calculated for CuKα.
Intensities are scaled so that the largest is 100.

Main lines, in order of falling intensity (10 to 90 degrees two-theta):
| 2θ (°) | Rel. int. | index |
| --- | --- | --- |
| 28.06 | 100 | 1 -2 1 |
| 36.49 | 29 | 1 1 -3 |
| 43.47 | 28 | 3 0 -2 |
| 47.69 | 24 | 2 -1 2 |
| 52.54 | 18 | 2 2 -3 |
| 51.60 | 18 | 0 3 1 |
| 26.44 | 18 | 0 0 2 |
| 70.49 | 15 | 4 -5 0 |
| 75.22 | 12 | 1 -2 5 |
| 24.69 | 10 | 1 1 -1 |

```
data_Th3SiAs
_cell_length_a 7.209
_cell_length_b 7.212
_cell_length_c 7.921
_cell_angle_alpha 90.05
_cell_angle_beta 117.04
_cell_angle_gamma 119.97
_symmetry_space_group_name_H-M 'P -1'
_symmetry_Int_Tables_number 2
loop_
_symmetry_equiv_pos_as_xyz
'x,y,z'
'-x,-y,-z'
loop_
_atom_site_label
_atom_site_fract_x
_atom_site_fract_y
_atom_site_fract_z
Th1 0.003 0.410 0.256
Th2 0.338 0.248 0.744
Th3 0.347 0.094 0.256
Si1 0.164 0.832 0.496
As1 0.164 0.332 0.996
```



No. 11
Starting from a cell relaxed with GGA-PBE, the X-ray powder pattern of HoGaCuAu was calculated for CuKα.
Intensities are scaled so that the largest is 100.

Main lines, in order of falling intensity (10 to 90 degrees two-theta):
| 2θ (°) | Rel. int. | index |
| --- | --- | --- |
| 38.29 | 100 | 2 2 0 |
| 69.22 | 35 | 4 2 2 |
| 23.17 | 23 | 1 1 1 |
| 55.26 | 17 | 4 0 0 |
| 45.23 | 12 | 3 1 1 |
| 81.97 | 11 | 4 4 0 |
| 60.71 | 5 | 3 3 1 |
| 86.61 | 5 | 5 3 1 |
| 74.09 | 4 | 5 1 1 |

```
data_HoGaCuAu
_cell_length_a 6.649
_cell_length_b 6.649
_cell_length_c 6.649
_cell_angle_alpha 90.00
_cell_angle_beta 90.00
_cell_angle_gamma 90.00
_symmetry_space_group_name_H-M 'F -4 3 m'
_symmetry_Int_Tables_number 216
_symmetry_space_group_name_Hall 'F -4 2 3'
loop_
_atom_site_label
_atom_site_fract_x
_atom_site_fract_y
_atom_site_fract_z
Ho1 0.000 0.000 0.000
Ga1 0.000 0.000 0.500
Cu1 0.250 0.250 0.750
Au1 0.250 0.250 0.250
```



Copy entry 1 word for word.
Starting from a cell relaxed with GGA-PBE, the X-ray powder pattern of Ba5Sn2S8 was calculated for CuKα.
Intensities are scaled so that the largest is 100.

Main lines, in order of falling intensity (10 to 90 degrees two-theta):
| 2θ (°) | Rel. int. | index |
| --- | --- | --- |
| 25.47 | 100 | 4 2 2 |
| 29.70 | 92 | 5 1 3 |
| 29.81 | 78 | 5 3 1 |
| 47.45 | 37 | 0 6 2 |
| 32.86 | 36 | 0 2 4 |
| 33.02 | 33 | 0 4 2 |
| 23.35 | 29 | 1 1 3 |
| 22.19 | 29 | 6 0 0 |
| 36.49 | 28 | 8 2 2 |
| 23.50 | 28 | 1 3 1 |

```
data_Ba5Sn2S8
_cell_length_a 24.034
_cell_length_b 12.111
_cell_length_c 12.213
_cell_angle_alpha 90.00
_cell_angle_beta 90.00
_cell_angle_gamma 90.00
_symmetry_space_group_name_H-M 'C m c e'
_symmetry_Int_Tables_number 64
_symmetry_space_group_name_Hall '-C 2ac 2'
loop_
_atom_site_label
_atom_site_fract_x
_atom_site_fract_y
_atom_site_fract_z
Ba1 0.096 0.001 0.169
Ba2 0.097 0.167 0.503
Ba3 0.250 0.247 0.250
Sn1 0.000 0.244 0.255
Sn2 0.250 0.000 0.000
S1 0.000 0.047 0.354
S2 0.000 0.155 0.052
S3 0.115 0.248 0.255
S4 0.186 0.151 0.009
S5 0.187 0.007 0.650
```